Calculated X-ray powder pattern
Compound: BeZnI5
Radiation: Cu Kα (weighted mean of Kα1 and Kα2)
Structure: DFT lattice parameters and positions (PBE)
No peak broadening, texture or thermal motion is included.

Most intense lines, 2θ = 5–70°, in order of rising 2θ:
- 12.4 deg, rel. 41
- 14.7 deg, rel. 100
- 21.4 deg, rel. 66
- 24.9 deg, rel. 26
- 26.9 deg, rel. 71
- 29.4 deg, rel. 30
- 29.5 deg, rel. 24
- 34.8 deg, rel. 26
- 38.4 deg, rel. 21
- 49.2 deg, rel. 21

Structure:
a = 17.189 Å, b = 7.468 Å, c = 12.865 Å
α = 90.00°, β = 90.00°, γ = 90.00°
Fractional coordinates of all 28 atoms:
Be (0.053, 0.250, 0.148)
Be (0.447, 0.750, 0.648)
Be (0.553, 0.250, 0.352)
Be (0.947, 0.750, 0.852)
Zn (0.159, 0.750, 0.044)
Zn (0.341, 0.250, 0.544)
Zn (0.659, 0.750, 0.456)
Zn (0.841, 0.250, 0.956)
I (0.000, 0.000, 0.500)
I (0.000, 0.500, 0.500)
I (0.082, 0.750, 0.863)
I (0.124, 0.501, 0.189)
I (0.124, 0.999, 0.189)
I (0.197, 0.250, 0.504)
I (0.303, 0.750, 0.004)
I (0.376, 0.001, 0.689)
I (0.376, 0.499, 0.689)
I (0.418, 0.250, 0.363)
I (0.500, 0.000, 0.000)
I (0.500, 0.500, 0.000)
I (0.582, 0.750, 0.637)
I (0.624, 0.501, 0.311)
I (0.624, 0.999, 0.311)
I (0.697, 0.250, 0.996)
I (0.803, 0.750, 0.496)
I (0.876, 0.001, 0.811)
I (0.876, 0.499, 0.811)
I (0.918, 0.250, 0.137)

=====

Calculated X-ray powder pattern
Compound: Tb7Ho2Th3
Radiation: Cu Kα (weighted mean of Kα1 and Kα2)
Structure: DFT lattice parameters and positions (PBE)
No peak broadening, texture or thermal motion is included.

Most intense lines, 2θ = 5–70°, in order of rising 2θ:
- 24.5 deg, rel. 14
- 27.8 deg, rel. 25
- 32.0 deg, rel. 31
- 32.2 deg, rel. 100
- 32.3 deg, rel. 23
- 34.9 deg, rel. 15
- 52.0 deg, rel. 26
- 57.1 deg, rel. 12
- 57.4 deg, rel. 21
- 67.3 deg, rel. 22

Structure:
a = 11.794 Å, b = 11.794 Å, c = 11.794 Å
α = 31.58°, β = 31.58°, γ = 31.58°
Fractional coordinates of all 12 atoms:
Tb (0.000, 0.000, 0.000)
Tb (0.087, 0.087, 0.580)
Tb (0.087, 0.580, 0.087)
Tb (0.420, 0.913, 0.913)
Tb (0.580, 0.087, 0.087)
Tb (0.913, 0.420, 0.913)
Tb (0.913, 0.913, 0.420)
Ho (0.166, 0.166, 0.166)
Ho (0.834, 0.834, 0.834)
Th (0.346, 0.346, 0.346)
Th (0.500, 0.500, 0.500)
Th (0.654, 0.654, 0.654)

=====

Calculated X-ray powder pattern
Compound: BaAcWN3
Radiation: Cu Kα (weighted mean of Kα1 and Kα2)
Structure: DFT lattice parameters and positions (PBE)
No peak broadening, texture or thermal motion is included.

Most intense lines, 2θ = 5–70°, in order of rising 2θ:
- 11.8 deg, rel. 29
- 29.1 deg, rel. 99
- 30.0 deg, rel. 46
- 30.1 deg, rel. 46
- 31.6 deg, rel. 100
- 39.2 deg, rel. 23
- 44.0 deg, rel. 24
- 51.3 deg, rel. 19
- 54.2 deg, rel. 20
- 54.3 deg, rel. 18

Structure:
a = 7.468 Å, b = 7.468 Å, c = 7.798 Å
α = 105.48°, β = 105.48°, γ = 31.97°
Fractional coordinates of all 12 atoms:
Ba (0.137, 0.137, 0.068)
Ba (0.863, 0.863, 0.932)
Ac (0.155, 0.155, 0.582)
Ac (0.845, 0.845, 0.418)
W (0.499, 0.499, 0.706)
W (0.501, 0.501, 0.294)
N (0.003, 0.003, 0.287)
N (0.352, 0.352, 0.652)
N (0.359, 0.359, 0.200)
N (0.641, 0.641, 0.800)
N (0.648, 0.648, 0.348)
N (0.997, 0.997, 0.713)

=====

Calculated X-ray powder pattern
Compound: TeAsCl2
Radiation: Cu Kα (weighted mean of Kα1 and Kα2)
Structure: DFT lattice parameters and positions (PBE)
No peak broadening, texture or thermal motion is included.

Most intense lines, 2θ = 5–70°, in order of rising 2θ:
- 12.0 deg, rel. 100
- 14.7 deg, rel. 92
- 16.3 deg, rel. 42
- 24.1 deg, rel. 40
- 24.4 deg, rel. 40
- 28.6 deg, rel. 25
- 29.6 deg, rel. 46
- 30.5 deg, rel. 30
- 33.0 deg, rel. 24
- 34.1 deg, rel. 29

Structure:
a = 7.615 Å, b = 5.839 Å, c = 15.268 Å
α = 90.00°, β = 104.26°, γ = 90.00°
Fractional coordinates of all 16 atoms:
Te (0.051, 0.033, 0.239)
Te (0.051, 0.467, 0.739)
Te (0.949, 0.533, 0.261)
Te (0.949, 0.967, 0.761)
As (0.207, 0.022, 0.911)
As (0.207, 0.478, 0.411)
As (0.793, 0.522, 0.589)
As (0.793, 0.978, 0.089)
Cl (0.147, 0.726, 0.990)
Cl (0.147, 0.774, 0.490)
Cl (0.447, 0.625, 0.372)
Cl (0.447, 0.875, 0.872)
Cl (0.553, 0.125, 0.128)
Cl (0.553, 0.375, 0.628)
Cl (0.853, 0.226, 0.510)
Cl (0.853, 0.274, 0.010)

=====

Calculated X-ray powder pattern
Compound: Hg4AsO5
Radiation: Cu Kα (weighted mean of Kα1 and Kα2)
Structure: DFT lattice parameters and positions (PBE)
No peak broadening, texture or thermal motion is included.

Most intense lines, 2θ = 5–70°, in order of rising 2θ:
- 14.3 deg, rel. 22
- 32.3 deg, rel. 49
- 32.8 deg, rel. 100
- 41.2 deg, rel. 9
- 44.2 deg, rel. 19
- 46.3 deg, rel. 17
- 47.9 deg, rel. 12
- 57.9 deg, rel. 27
- 59.0 deg, rel. 18
- 68.8 deg, rel. 11

Structure:
a = 6.488 Å, b = 6.488 Å, c = 6.488 Å
α = 94.91°, β = 94.91°, γ = 145.99°
Fractional coordinates of all 10 atoms:
Hg (0.097, 0.666, 0.763)
Hg (0.334, 0.097, 0.432)
Hg (0.666, 0.903, 0.568)
Hg (0.903, 0.334, 0.237)
As (0.500, 0.500, 0.000)
O (0.000, 0.000, 0.000)
O (0.324, 0.375, 0.700)
O (0.375, 0.676, 0.051)
O (0.625, 0.324, 0.949)
O (0.676, 0.625, 0.300)

=====

Calculated X-ray powder pattern
Compound: Ac4La3Ag
Radiation: Cu Kα (weighted mean of Kα1 and Kα2)
Structure: DFT lattice parameters and positions (PBE)
No peak broadening, texture or thermal motion is included.

Most intense lines, 2θ = 5–70°, in order of rising 2θ:
- 26.3 deg, rel. 8
- 28.9 deg, rel. 100
- 32.4 deg, rel. 44
- 35.5 deg, rel. 8
- 45.4 deg, rel. 10
- 46.4 deg, rel. 16
- 48.8 deg, rel. 14
- 55.2 deg, rel. 11
- 55.6 deg, rel. 32
- 59.8 deg, rel. 10

Structure:
a = 3.912 Å, b = 3.912 Å, c = 20.215 Å
α = 90.00°, β = 90.00°, γ = 90.00°
Fractional coordinates of all 8 atoms:
Ac (0.000, 0.000, 0.099)
Ac (0.000, 0.000, 0.366)
Ac (0.000, 0.000, 0.634)
Ac (0.000, 0.000, 0.901)
La (0.500, 0.500, 0.235)
La (0.500, 0.500, 0.500)
La (0.500, 0.500, 0.765)
Ag (0.500, 0.500, 0.000)